This entry pairs a crystal structure of Be2InGe2 with its theoretical powder XRD pattern. Radiation: CuKα. Structure: DFT lattice parameters and positions (PBE).

Cell and atoms:
```
Be2InGe2
1.0
-2.034 2.034 5.019
2.034 -2.034 5.019
2.034 2.034 -5.019
Be In Ge
2 1 2
direct
0.250 0.750 0.500 Be
0.750 0.250 0.500 Be
0.000 0.000 0.000 In
0.374 0.374 0.000 Ge
0.626 0.626 0.000 Ge
```

Top 6 peaks for 2θ = 5–70°, by angle:
2θ = 31.1°, I = 861; 2θ = 34.7°, I = 1000; 2θ = 36.0°, I = 290; 2θ = 44.6°, I = 378; 2θ = 50.7°, I = 319; 2θ = 57.7°, I = 447